Record 1
# Lu2Cu3Mo4C3
Theoretical X-ray powder pattern, CuKα. Input: a cell relaxed with GGA-PBE.
Kinematic intensities with the Lorentz-polarization factor, no thermal factor.

Cell and atoms:
```
Lu2Cu3Mo4C3
1.0
4.672 -2.703 0.000
4.672 2.703 0.000
-3.293 0.000 13.349
Lu Cu Mo C
4 6 8 6
Cartesian
2.270 2.264 8.285 Lu
2.136 2.264 11.739 Lu
3.916 -2.264 1.610 Lu
3.782 -2.264 5.065 Lu
-0.192 0.852 10.043 Cu
1.454 -0.852 3.368 Cu
3.849 0.411 3.337 Cu
2.203 -0.411 10.012 Cu
4.598 0.852 9.981 Cu
6.244 -0.852 3.307 Cu
2.273 0.421 1.078 Mo
2.251 0.519 5.598 Mo
0.627 -0.421 7.753 Mo
0.605 -0.519 12.273 Mo
5.447 0.519 1.077 Mo
5.425 0.421 5.597 Mo
3.801 -0.519 7.751 Mo
3.779 -0.421 12.271 Mo
0.690 1.352 6.675 C
3.876 1.321 0.003 C
3.823 1.321 6.672 C
2.336 -1.352 0.000 C
2.229 -1.321 6.677 C
2.177 -1.321 13.347 C
```

Main lines, by angle (2θ = 10–80°):
2θ = 33.18°, I = 45.3; 2θ = 33.82°, I = 49.2; 2θ = 34.98°, I = 30.5; 2θ = 38.81°, I = 100.0; 2θ = 38.99°, I = 78.6; 2θ = 39.24°, I = 70.4; 2θ = 40.55°, I = 33.3; 2θ = 59.25°, I = 31.8

Record 2
# BaNd2BeO5
Theoretical X-ray powder pattern, CuKα. Input: a cell relaxed with GGA-PBE.
Kinematic intensities with the Lorentz-polarization factor, no thermal factor.

Cell and atoms:
```
BaNd2BeO5
1.0
7.422 0.000 0.000
0.000 6.673 0.000
-0.117 0.000 9.730
Ba Nd Be O
4 8 4 20
Cartesian
0.115 0.549 3.178 Ba
0.057 2.787 8.043 Ba
7.248 3.886 1.687 Ba
7.190 6.124 6.552 Ba
1.843 3.960 4.644 Nd
1.785 6.049 9.510 Nd
3.511 0.557 3.154 Nd
3.453 2.780 8.019 Nd
3.852 3.893 1.711 Nd
3.793 6.116 6.576 Nd
5.520 0.624 0.221 Nd
5.462 2.713 5.086 Nd
1.864 1.282 5.810 Be
1.922 2.055 0.945 Be
5.383 4.619 8.785 Be
5.441 5.391 3.920 Be
0.501 1.282 0.602 O
0.443 2.054 5.467 O
1.980 0.870 7.487 O
2.038 2.467 2.622 O
2.069 3.475 0.094 O
2.011 6.534 4.959 O
2.025 4.447 6.981 O
2.083 5.562 2.116 O
3.267 1.205 0.633 O
3.208 2.132 5.498 O
4.096 4.541 4.233 O
4.038 5.469 9.098 O
5.221 1.111 7.615 O
5.280 2.226 2.750 O
5.294 0.139 4.771 O
5.236 3.198 9.636 O
5.266 4.206 7.108 O
5.325 5.804 2.243 O
6.862 4.619 4.263 O
6.804 5.391 9.128 O
```

Main lines, by angle (2θ = 10–80°):
2θ = 28.28°, I = 42.6; 2θ = 28.93°, I = 38.5; 2θ = 29.12°, I = 36.5; 2θ = 30.11°, I = 28.9; 2θ = 30.47°, I = 30.0; 2θ = 30.66°, I = 100.0; 2θ = 37.48°, I = 25.6; 2θ = 39.45°, I = 28.0

Record 3
# SmPtO3
Theoretical X-ray powder pattern, CuKα. Input: a cell relaxed with GGA-PBE.
Kinematic intensities with the Lorentz-polarization factor, no thermal factor.

Cell and atoms:
```
SmPtO3
1.0
-2.748 2.748 4.201
2.748 -2.748 4.201
2.748 2.748 -4.201
Sm Pt O
2 2 6
Cartesian
2.748 0.000 2.101 Sm
0.000 2.748 2.101 Sm
0.000 0.000 0.000 Pt
0.000 0.000 4.201 Pt
3.643 0.896 0.000 O
0.000 0.000 2.101 O
0.896 1.852 0.000 O
1.852 0.896 4.201 O
0.000 0.000 6.302 O
-0.896 1.852 4.201 O
```

Main lines, by angle (2θ = 10–80°):
2θ = 31.36°, I = 100.0; 2θ = 32.59°, I = 53.6; 2θ = 43.06°, I = 16.1; 2θ = 46.76°, I = 22.2; 2θ = 55.03°, I = 24.5; 2θ = 57.38°, I = 43.1; 2θ = 65.43°, I = 16.1; 2θ = 71.63°, I = 10.0

Record 4
# Pr5Co19
Theoretical X-ray powder pattern, CuKα. Input: a cell relaxed with GGA-PBE.
Kinematic intensities with the Lorentz-polarization factor, no thermal factor.

Cell and atoms:
```
Pr5Co19
1.0
2.515 1.452 16.069
-2.515 1.452 16.069
0.000 -2.904 16.069
Pr Co
5 19
Cartesian
0.000 0.000 0.000 Pr
0.000 0.000 3.823 Pr
0.000 0.000 7.357 Pr
0.000 0.000 40.848 Pr
0.000 0.000 44.383 Pr
-1.256 -0.725 18.024 Co
-1.242 -0.717 21.949 Co
0.000 0.000 12.113 Co
0.000 0.000 16.061 Co
0.000 -1.434 26.257 Co
-1.242 0.717 26.257 Co
0.000 0.000 20.003 Co
0.000 -1.451 30.182 Co
-1.256 0.725 30.182 Co
0.000 0.000 24.103 Co
1.256 -0.725 18.023 Co
0.000 1.451 18.023 Co
0.000 0.000 28.203 Co
1.242 -0.717 21.949 Co
0.000 1.434 21.949 Co
0.000 0.000 32.144 Co
0.000 0.000 36.093 Co
1.242 0.717 26.257 Co
1.256 0.725 30.182 Co
```

Main lines, by angle (2θ = 10–80°):
2θ = 31.69°, I = 36.5; 2θ = 33.17°, I = 24.2; 2θ = 35.71°, I = 43.4; 2θ = 41.51°, I = 31.9; 2θ = 42.41°, I = 100.0; 2θ = 45.14°, I = 16.7; 2θ = 68.75°, I = 22.2; 2θ = 75.64°, I = 19.5

Record 5
# LaNdAl4Co2
Theoretical X-ray powder pattern, CuKα. Input: a cell relaxed with GGA-PBE.
Kinematic intensities with the Lorentz-polarization factor, no thermal factor.

Cell and atoms:
```
LaNdAl4Co2
1.0
7.132 0.000 0.000
0.000 2.071 5.130
0.000 -2.071 5.130
La Nd Al Co
1 1 4 2
Cartesian
0.000 0.000 0.000 La
3.566 0.000 9.227 Nd
1.395 0.000 2.878 Al
2.209 0.000 6.371 Al
4.923 0.000 6.371 Al
5.737 0.000 2.878 Al
0.000 0.000 7.605 Co
3.566 0.000 1.706 Co
```

Main lines, by angle (2θ = 10–80°):
2θ = 23.16°, I = 71.8; 2θ = 24.97°, I = 52.9; 2θ = 34.32°, I = 100.0; 2θ = 36.32°, I = 78.1; 2θ = 37.26°, I = 57.5; 2θ = 43.71°, I = 29.5; 2θ = 51.77°, I = 29.3; 2θ = 58.75°, I = 29.7

Record 6
# Sm2Mg2Fe
Theoretical X-ray powder pattern, CuKα. Input: a cell relaxed with GGA-PBE.
Kinematic intensities with the Lorentz-polarization factor, no thermal factor.

Cell and atoms:
```
Sm2Mg2Fe
1.0
0.000 11.063 1.798
6.888 0.000 1.798
6.888 11.063 0.000
Sm Mg Fe
4 4 2
Cartesian
8.503 5.613 1.798 Sm
8.716 11.144 2.698 Sm
5.272 16.512 1.798 Sm
5.059 10.981 2.698 Sm
7.015 8.497 0.621 Mg
6.760 13.628 0.621 Mg
10.204 14.028 1.520 Mg
3.571 8.097 1.520 Mg
6.888 11.063 0.904 Fe
10.332 16.594 1.803 Fe
```

Main lines, by angle (2θ = 10–80°):
2θ = 16.02°, I = 100.0; 2θ = 25.89°, I = 19.1; 2θ = 30.58°, I = 35.6; 2θ = 31.86°, I = 44.3; 2θ = 32.37°, I = 30.9; 2θ = 33.91°, I = 26.4; 2θ = 37.72°, I = 17.3; 2θ = 42.88°, I = 17.5